Entry 1:
Theoretical powder XRD pattern
Compound: Hf3Zr2Bi
Radiation: Cu Kα (weighted mean of Kα1 and Kα2)
Structure: a crystal structure in Alexandria, relaxed with GGA-PBE
Lines closer than 0.1° are merged.

Crystal structure
Lattice parameters (Å, degrees): 5.959 9.575 19.554 90.00 90.00 90.00
Space group Fmmm (No. 69)
Unique sites:
Hf 0.000 0.000 0.144
Hf 0.000 0.208 0.415
Zr 0.229 0.000 0.000
Zr 0.250 0.250 0.250
Bi 0.000 0.000 0.304

Most intense lines, 2θ = 10–80°, low angle first:
2θ 29.99, I = 29, hkl 2 0 0; 2θ 32.14, I = 23, hkl 1 3 1; 2θ 33.26, I = 71, hkl 0 2 6; 2θ 35.28, I = 29, hkl 2 0 4; 2θ 36.72, I = 100, hkl 2 2 2; 2θ 37.58, I = 29, hkl 0 4 0; 2θ 39.46, I = 37, hkl 1 3 5; 2θ 52.50, I = 15, hkl 2 4 4; 2θ 59.73, I = 19, hkl 3 3 5; 2θ 60.66, I = 20, hkl 1 5 7



Entry 2:
Theoretical powder XRD pattern
Compound: Pb
Radiation: Cu Kα (weighted mean of Kα1 and Kα2)
Structure: a crystal structure in Alexandria, relaxed with GGA-PBE
Lines closer than 0.1° are merged.

Crystal structure
Lattice parameters (Å, degrees): 6.538 6.538 12.478 90.00 90.00 90.00
Space group I4_1/acd (No. 142, origin choice 2)
Unique sites:
Pb 0.182 0.068 0.125

Most intense lines, 2θ = 10–80°, low angle first:
2θ 27.28, I = 64, hkl 2 0 0; 2θ 28.61, I = 67, hkl 0 0 4; 2θ 31.43, I = 100, hkl 2 1 1; 2θ 37.60, I = 63, hkl 2 1 3; 2θ 39.95, I = 48, hkl 2 0 4; 2θ 46.26, I = 24, hkl 3 1 2; 2θ 47.93, I = 34, hkl 2 1 5; 2θ 58.69, I = 30, hkl 4 1 1; 2θ 62.04, I = 27, hkl 3 3 2; 2θ 62.71, I = 25, hkl 4 1 3



Entry 3:
Theoretical powder XRD pattern
Compound: MnSiSnIrS
Radiation: Cu Kα (weighted mean of Kα1 and Kα2)
Structure: a crystal structure in Alexandria, relaxed with GGA-PBE
Lines closer than 0.1° are merged.

Crystal structure
Lattice parameters (Å, degrees): 3.008 4.135 7.238 76.47 78.26 68.70
Space group P1 (No. 1)
Unique sites:
Mn 0.000 0.000 0.000
Si 0.651 0.972 0.717
Sn 0.358 0.937 0.337
Ir 0.989 0.426 0.585
S 0.712 0.580 0.996

Most intense lines, 2θ = 10–80°, low angle first:
2θ 12.69, I = 100, hkl 0 0 1; 2θ 24.67, I = 49, hkl 0 1 1; 2θ 28.69, I = 39, hkl 0 1 -1; 2θ 31.66, I = 59, hkl 0 1 2; 2θ 33.08, I = 87, hkl 1 1 0; 2θ 37.98, I = 32, hkl 0 1 -2; 2θ 38.56, I = 41, hkl 1 1 -1; 2θ 38.71, I = 70, hkl 1 0 2; 2θ 48.38, I = 44, hkl -1 1 1; 2θ 48.51, I = 31, hkl 1 2 2



Entry 4:
Theoretical powder XRD pattern
Compound: Sb2O5
Radiation: Cu Kα (weighted mean of Kα1 and Kα2)
Structure: a crystal structure in Alexandria, relaxed with GGA-PBE
Lines closer than 0.1° are merged.

Crystal structure
Lattice parameters (Å, degrees): 3.996 10.244 9.778 90.00 90.00 90.00
Space group Cmcm (No. 63)
Unique sites:
Sb 0.000 0.135 0.064
O 0.000 0.050 0.620
O 0.000 0.208 0.250
O 0.000 0.316 0.536

Most intense lines, 2θ = 10–80°, low angle first:
2θ 18.15, I = 97, hkl 0 0 2; 2θ 19.57, I = 42, hkl 0 2 1; 2θ 23.90, I = 100, hkl 1 1 0; 2θ 25.60, I = 27, hkl 1 1 1; 2θ 30.17, I = 30, hkl 1 1 2; 2θ 32.56, I = 62, hkl 0 2 3; 2θ 34.55, I = 29, hkl 1 3 0; 2θ 36.65, I = 31, hkl 1 1 3; 2θ 45.39, I = 26, hkl 2 0 0; 2θ 49.91, I = 32, hkl 0 2 5



Entry 5:
Theoretical powder XRD pattern
Compound: Tm4Zn3Au
Radiation: Cu Kα (weighted mean of Kα1 and Kα2)
Structure: a crystal structure in Alexandria, relaxed with GGA-PBE
Lines closer than 0.1° are merged.

Crystal structure
Lattice parameters (Å, degrees): 3.680 4.496 10.980 90.00 90.00 90.00
Space group Pmm2 (No. 25)
Unique sites:
Tm 0.000 0.000 0.000
Tm 0.000 0.500 0.294
Tm 0.500 0.000 0.497
Tm 0.500 0.500 0.798
Zn 0.000 0.000 0.720
Zn 0.000 0.500 0.575
Zn 0.500 0.500 0.069
Au 0.500 0.000 0.225

Most intense lines, 2θ = 10–80°, low angle first:
2θ 25.61, I = 17, hkl 0 1 2; 2θ 32.48, I = 100, hkl 1 1 1; 2θ 32.62, I = 22, hkl 0 0 4; 2θ 34.57, I = 38, hkl 1 0 3; 2θ 38.42, I = 34, hkl 0 1 4; 2θ 40.12, I = 72, hkl 0 2 0; 2θ 49.55, I = 17, hkl 2 0 0; 2θ 52.63, I = 19, hkl 0 2 4; 2θ 53.96, I = 22, hkl 1 2 3; 2θ 64.39, I = 16, hkl 2 1 4



Entry 6:
Theoretical powder XRD pattern
Compound: NaTlBi3
Radiation: Cu Kα (weighted mean of Kα1 and Kα2)
Structure: a crystal structure in Alexandria, relaxed with GGA-PBE
Lines closer than 0.1° are merged.

Crystal structure
Lattice parameters (Å, degrees): 7.926 8.245 10.545 90.00 90.00 90.00
Space group Pnnm (No. 58)
Unique sites:
Na 0.144 0.198 0.000
Tl 0.188 0.143 0.500
Bi 0.000 0.500 0.346
Bi 0.133 0.862 0.246

Most intense lines, 2θ = 10–80°, low angle first:
2θ 13.98, I = 35, hkl 1 0 1; 2θ 16.82, I = 27, hkl 0 0 2; 2θ 27.59, I = 28, hkl 0 1 3; 2θ 29.73, I = 100, hkl 1 2 2; 2θ 30.22, I = 79, hkl 2 1 2; 2θ 34.54, I = 39, hkl 1 3 0; 2θ 35.68, I = 40, hkl 3 1 0; 2θ 37.57, I = 33, hkl 1 1 4; 2θ 58.25, I = 26, hkl 4 0 4; 2θ 59.91, I = 24, hkl 3 3 4



Entry 7:
Theoretical powder XRD pattern
Compound: LiCoH5Pd2
Radiation: Cu Kα (weighted mean of Kα1 and Kα2)
Structure: a crystal structure in Alexandria, relaxed with GGA-PBE
Lines closer than 0.1° are merged.

Crystal structure
Lattice parameters (Å, degrees): 3.286 4.631 9.352 90.00 90.00 90.00
Space group Immm (No. 71)
Unique sites:
Li 0.000 0.000 0.000
Co 0.000 0.000 0.500
H 0.000 0.243 0.370
H 0.000 0.500 0.000
Pd 0.000 0.500 0.228

Most intense lines, 2θ = 10–80°, low angle first:
2θ 18.98, I = 40, hkl 0 0 2; 2θ 21.41, I = 25, hkl 0 1 1; 2θ 33.44, I = 23, hkl 1 1 0; 2θ 38.51, I = 21, hkl 0 0 4; 2θ 38.73, I = 100, hkl 1 1 2; 2θ 38.89, I = 26, hkl 0 2 0; 2θ 39.86, I = 12, hkl 1 0 3; 2θ 55.92, I = 24, hkl 2 0 0; 2θ 69.81, I = 10, hkl 1 1 6; 2θ 70.30, I = 25, hkl 2 2 0



Entry 8:
Theoretical powder XRD pattern
Compound: SiNiRu
Radiation: Cu Kα (weighted mean of Kα1 and Kα2)
Structure: a crystal structure in Alexandria, relaxed with GGA-PBE
Lines closer than 0.1° are merged.

Crystal structure
Lattice parameters (Å, degrees): 3.9244 3.9244 2.7695 90.00 90.00 120.00
Space group P-6m2 (No. 187)
Unique sites:
Si 0.0000 0.0000 0.0000
Ni 0.6667 0.3333 0.0000
Ru 0.3333 0.6667 0.5000

Most intense lines, 2θ = 10–80°, low angle first:
2θ 26.22, I = 32, hkl 1 0 0; 2θ 42.09, I = 100, hkl 1 0 1; 2θ 46.27, I = 62, hkl 1 1 0; 2θ 53.96, I = 4, hkl 2 0 0; 2θ 64.32, I = 27, hkl 2 0 1; 2θ 67.66, I = 6, hkl 0 0 2; 2θ 73.76, I = 3, hkl 2 1 0; 2θ 73.91, I = 3, hkl 1 0 2



Entry 9:
Theoretical powder XRD pattern
Compound: U7Te12
Radiation: Cu Kα (weighted mean of Kα1 and Kα2)
Structure: a crystal structure in Alexandria, relaxed with GGA-PBE
Lines closer than 0.1° are merged.

Crystal structure
Lattice parameters (Å, degrees): 12.4140 12.4140 4.1829 90.00 90.00 120.00
Space group P-6 (No. 174)
Unique sites:
U 0.0000 0.0000 0.0000
U 0.1591 0.4504 0.5000
U 0.4320 0.2785 0.0000
Te 0.0069 0.2549 0.0000
Te 0.1370 0.6281 0.0000
Te 0.2132 0.2102 0.5000
Te 0.5236 0.1401 0.5000

Most intense lines, 2θ = 10–80°, low angle first:
2θ 21.87, I = 45, hkl 1 2 0; 2θ 27.01, I = 19, hkl 2 0 1; 2θ 30.67, I = 100, hkl 2 1 1; 2θ 32.91, I = 49, hkl 3 0 1; 2θ 36.04, I = 34, hkl 2 2 1; 2θ 37.03, I = 36, hkl 1 3 1; 2θ 38.37, I = 59, hkl 4 1 0; 2θ 43.26, I = 27, hkl 0 0 2; 2θ 57.93, I = 26, hkl 2 5 1; 2θ 59.18, I = 34, hkl 4 1 2



Entry 10:
Theoretical powder XRD pattern
Compound: Cd7SiN6
Radiation: Cu Kα (weighted mean of Kα1 and Kα2)
Structure: a crystal structure in Alexandria, relaxed with GGA-PBE
Lines closer than 0.1° are merged.

Crystal structure
Lattice parameters (Å, degrees): 10.255 5.955 13.501 90.00 90.00 90.00
Space group Cmcm (No. 63)
Unique sites:
Cd 0.000 0.093 0.250
Cd 0.000 0.248 0.534
Cd 0.219 0.301 0.121
Si 0.000 0.392 0.750
N 0.000 0.431 0.143
N 0.139 0.211 0.750
N 0.169 0.000 0.000

Most intense lines, 2θ = 10–80°, low angle first:
2θ 30.01, I = 32, hkl 0 2 0; 2θ 31.74, I = 100, hkl 2 0 4; 2θ 35.00, I = 37, hkl 4 0 0; 2θ 35.49, I = 26, hkl 2 2 1; 2θ 36.17, I = 16, hkl 0 2 3; 2θ 36.29, I = 41, hkl 3 1 3; 2θ 37.38, I = 18, hkl 2 2 2; 2θ 37.61, I = 15, hkl 1 1 5; 2θ 44.25, I = 34, hkl 2 2 4; 2θ 58.58, I = 14, hkl 5 1 5



Entry 11:
Theoretical powder XRD pattern
Compound: Y7Te2Rh2
Radiation: Cu Kα (weighted mean of Kα1 and Kα2)
Structure: a crystal structure in Alexandria, relaxed with GGA-PBE
Lines closer than 0.1° are merged.

Crystal structure
Lattice parameters (Å, degrees): 3.947 15.849 9.542 90.00 90.00 90.00
Space group Imm2 (No. 44)
Unique sites:
Y 0.000 0.000 0.000
Y 0.000 0.130 0.417
Y 0.000 0.317 0.624
Y 0.000 0.354 0.265
Te 0.000 0.000 0.664
Te 0.000 0.500 0.763
Rh 0.000 0.239 0.929

Most intense lines, 2θ = 10–80°, low angle first:
2θ 21.74, I = 18, hkl 0 2 2; 2θ 29.92, I = 33, hkl 1 1 2; 2θ 32.87, I = 47, hkl 0 3 3; 2θ 33.39, I = 100, hkl 1 4 1; 2θ 34.00, I = 50, hkl 0 6 0; 2θ 36.28, I = 19, hkl 1 0 3; 2θ 38.07, I = 29, hkl 1 2 3; 2θ 38.97, I = 15, hkl 0 6 2; 2θ 45.99, I = 26, hkl 2 0 0; 2θ 57.68, I = 18, hkl 2 3 3



Entry 12:
Theoretical powder XRD pattern
Compound: TiZn2Co
Radiation: Cu Kα (weighted mean of Kα1 and Kα2)
Structure: a crystal structure in Alexandria, relaxed with GGA-PBE
Lines closer than 0.1° are merged.

Crystal structure
Lattice parameters (Å, degrees): 5.252 4.209 5.459 90.00 114.76 90.00
Space group P2_1/m (No. 11)
Unique sites:
Ti 0.136 0.250 0.377
Zn 0.203 0.250 0.887
Zn 0.334 0.750 0.167
Co 0.338 0.750 0.634

Most intense lines, 2θ = 10–80°, low angle first:
2θ 37.74, I = 25, hkl 2 0 0; 2θ 40.01, I = 34, hkl 2 0 -2; 2θ 42.32, I = 100, hkl 0 1 2; 2θ 42.97, I = 52, hkl 0 2 0; 2θ 43.63, I = 66, hkl 2 1 0; 2θ 45.66, I = 32, hkl 2 1 -2; 2θ 58.49, I = 11, hkl 2 2 0; 2θ 60.16, I = 19, hkl 2 2 -2; 2θ 78.30, I = 14, hkl 0 3 2; 2θ 79.21, I = 10, hkl 2 3 0



Entry 13:
Theoretical powder XRD pattern
Compound: Nd2HfSi3Pt4
Radiation: Cu Kα (weighted mean of Kα1 and Kα2)
Structure: a crystal structure in Alexandria, relaxed with GGA-PBE
Lines closer than 0.1° are merged.

Crystal structure
Lattice parameters (Å, degrees): 4.302 4.302 10.335 90.00 90.00 90.00
Space group P-4m2 (No. 115)
Unique sites:
Nd 0.000 0.500 0.237
Hf 0.000 0.000 0.500
Si 0.000 0.500 0.876
Si 0.500 0.500 0.500
Pt 0.000 0.000 0.000
Pt 0.000 0.500 0.645
Pt 0.500 0.500 0.000

Most intense lines, 2θ = 10–80°, low angle first:
2θ 26.97, I = 30, hkl 1 0 2; 2θ 30.64, I = 17, hkl 1 1 1; 2θ 33.32, I = 29, hkl 1 0 3; 2θ 34.20, I = 100, hkl 1 1 2; 2θ 42.00, I = 53, hkl 2 0 0; 2θ 46.09, I = 24, hkl 1 1 4; 2θ 48.89, I = 19, hkl 1 0 5; 2θ 60.91, I = 18, hkl 2 2 0; 2θ 66.38, I = 15, hkl 2 1 5; 2θ 71.75, I = 24, hkl 3 1 2